Record 1
Starting from a crystal structure in OQMD, relaxed with GGA-PBE, the PXRD pattern of BaZnSnS4 was simulated for CuKα.
No peak broadening, texture or thermal motion is included.

Structure:
```
data_BaZnSnS4
_symmetry_space_group_name_H-M 'F d d 2'
_symmetry_Int_Tables_number 43
_symmetry_space_group_name_Hall 'F 2 -2d'
_cell_length_a 21.6314
_cell_length_b 22.1811
_cell_length_c 12.8176
_cell_angle_alpha 90.00
_cell_angle_beta 90.00
_cell_angle_gamma 90.00
loop_
_atom_site_label
_atom_site_type_symbol
_atom_site_fract_x
_atom_site_fract_y
_atom_site_fract_z
_atom_site_occupancy
Ba1 Ba 0.0000 0.0000 0.0000 1
Ba2 Ba 0.0000 0.0000 0.4974 1
Ba3 Ba 0.0007 0.2482 0.9989 1
Zn1 Zn 0.0729 0.1255 0.2119 1
Zn2 Zn 0.1109 0.1248 0.7465 1
Sn1 Sn 0.0701 0.3749 0.2880 1
Sn2 Sn 0.1122 0.3757 0.7488 1
S1 S 0.0267 0.3759 0.6298 1
S2 S 0.0321 0.1243 0.8682 1
S3 S 0.0468 0.1264 0.3866 1
S4 S 0.0486 0.3742 0.1045 1
S5 S 0.1244 0.2064 0.6254 1
S6 S 0.1244 0.4569 0.3738 1
S7 S 0.1252 0.0438 0.1261 1
S8 S 0.1248 0.0439 0.6231 1
```

Largest 12 diffraction maxima, in order of rising 2θ, 10° ≤ 2θ ≤ 90°:
2θ 16.0, intensity 27, hkl 0 4 0
2θ 18.0, intensity 14, hkl 2 2 2
2θ 22.7, intensity 100, hkl 2 4 2
2θ 23.0, intensity 37, hkl 4 4 0
2θ 28.4, intensity 47, hkl 6 0 2
2θ 32.3, intensity 33, hkl 0 8 0
2θ 36.4, intensity 72, hkl 4 4 4
2θ 37.0, intensity 14, hkl 8 4 0
2θ 43.1, intensity 18, hkl 0 8 4
2θ 43.5, intensity 29, hkl 6 8 2
2θ 47.3, intensity 13, hkl 10 4 2
2θ 55.5, intensity 14, hkl 8 8 4

=====

Record 2
Starting from a crystal structure in OQMD, relaxed with GGA-PBE, the PXRD pattern of Ba3Ta2S8 was simulated for CuKα.
No peak broadening, texture or thermal motion is included.

Structure:
```
data_Ba3Ta2S8
_symmetry_space_group_name_H-M 'P 1 2/m 1'
_symmetry_Int_Tables_number 10
_cell_length_a 12.0832
_cell_length_b 6.9165
_cell_length_c 12.7169
_cell_angle_alpha 90.00
_cell_angle_beta 109.05
_cell_angle_gamma 90.00
loop_
_symmetry_equiv_pos_as_xyz
'x,y,z'
'-x,-y,-z'
'-x,y,-z'
'x,-y,z'
loop_
_atom_site_label
_atom_site_type_symbol
_atom_site_fract_x
_atom_site_fract_y
_atom_site_fract_z
_atom_site_occupancy
Ba1 Ba 0.0000 0.0000 0.0000 1
Ba2 Ba 0.0944 0.0000 0.3646 1
Ba3 Ba 0.2219 0.5000 0.6559 1
Ba4 Ba 0.3162 0.5000 0.0362 1
Ba5 Ba 0.4538 0.0000 0.3089 1
Ta1 Ta 0.2302 0.0000 0.8276 1
Ta2 Ta 0.2338 0.5000 0.3243 1
Ta3 Ta 0.5000 0.0000 0.0000 1
Ta4 Ta 0.5000 0.5000 0.5000 1
S1 S 0.0782 0.5000 0.3958 1
S2 S 0.1161 0.2567 0.8468 1
S3 S 0.1761 0.0000 0.6322 1
S4 S 0.1870 0.2481 0.1985 1
S5 S 0.3211 0.0000 0.0458 1
S6 S 0.3473 0.2544 0.4842 1
S7 S 0.4083 0.2417 0.8546 1
S8 S 0.4439 0.5000 0.2995 1
```

Largest 12 diffraction maxima, in order of rising 2θ, 10° ≤ 2θ ≤ 90°:
2θ 14.2, intensity 35, hkl 1 0 -2
2θ 14.8, intensity 30, hkl 0 1 1
2θ 15.5, intensity 29, hkl 1 1 -1
2θ 20.2, intensity 25, hkl 2 1 0
2θ 25.8, intensity 55, hkl 0 2 0
2θ 26.0, intensity 100, hkl 2 1 -3
2θ 29.8, intensity 26, hkl 3 1 1
2θ 33.8, intensity 31, hkl 2 1 3
2θ 34.2, intensity 78, hkl 3 2 -1
2θ 45.6, intensity 23, hkl 2 3 -3
2θ 53.0, intensity 23, hkl 0 4 0
2θ 53.5, intensity 28, hkl 4 2 -6

=====

Record 3
Starting from a crystal structure in OQMD, relaxed with GGA-PBE, the PXRD pattern of BaTbS was simulated for CuKα.
No peak broadening, texture or thermal motion is included.

Structure:
```
data_BaTbS
_symmetry_space_group_name_H-M 'P 4/m m m'
_symmetry_Int_Tables_number 123
_symmetry_space_group_name_Hall '-P 4 2'
_cell_length_a 4.4881
_cell_length_b 4.4881
_cell_length_c 5.3414
_cell_angle_alpha 90.00
_cell_angle_beta 90.00
_cell_angle_gamma 90.00
loop_
_atom_site_label
_atom_site_type_symbol
_atom_site_fract_x
_atom_site_fract_y
_atom_site_fract_z
_atom_site_occupancy
Ba1 Ba 0.0000 0.0000 0.0000 1
Tb1 Tb 0.5000 0.5000 0.5000 1
S1 S 0.5000 0.5000 0.0000 1
```

Largest 12 diffraction maxima, in order of rising 2θ, 10° ≤ 2θ ≤ 90°:
2θ 25.9, intensity 100, hkl 1 0 1
2θ 28.1, intensity 66, hkl 1 1 0
2θ 33.6, intensity 21, hkl 0 0 2
2θ 40.2, intensity 25, hkl 2 0 0
2θ 44.3, intensity 37, hkl 1 1 2
2θ 48.4, intensity 37, hkl 2 1 1
2θ 53.3, intensity 22, hkl 2 0 2
2θ 55.5, intensity 13, hkl 1 0 3
2θ 65.8, intensity 11, hkl 3 1 0
2θ 68.8, intensity 10, hkl 2 2 2
2θ 70.7, intensity 12, hkl 2 1 3
2θ 75.9, intensity 15, hkl 3 1 2

=====

Record 4
Starting from a crystal structure in OQMD, relaxed with GGA-PBE, the PXRD pattern of BaTm2S4 was simulated for CuKα.
No peak broadening, texture or thermal motion is included.

Structure:
```
data_BaTm2S4
_symmetry_space_group_name_H-M 'P n m a'
_symmetry_Int_Tables_number 62
_cell_length_a 12.2269
_cell_length_b 4.0007
_cell_length_c 14.4031
_cell_angle_alpha 90.00
_cell_angle_beta 90.00
_cell_angle_gamma 90.00
loop_
_symmetry_equiv_pos_as_xyz
'x,y,z'
'-x,-y,-z'
'-x+1/2,-y,z+1/2'
'x+1/2,y,-z+1/2'
'x+1/2,-y+1/2,-z+1/2'
'-x+1/2,y+1/2,z+1/2'
'-x,y+1/2,-z'
'x,-y+1/2,z'
loop_
_atom_site_label
_atom_site_type_symbol
_atom_site_fract_x
_atom_site_fract_y
_atom_site_fract_z
_atom_site_occupancy
Ba1 Ba 0.2426 0.2500 0.1613 1
Tm1 Tm 0.0660 0.2500 0.3910 1
Tm2 Tm 0.0786 0.2500 0.8985 1
S1 S 0.0230 0.7500 0.7831 1
S2 S 0.0806 0.2500 0.5759 1
S3 S 0.1224 0.7500 0.0227 1
S4 S 0.2071 0.7500 0.3398 1
```

Largest 12 diffraction maxima, in order of rising 2θ, 10° ≤ 2θ ≤ 90°:
2θ 24.7, intensity 45, hkl 0 0 4
2θ 25.1, intensity 100, hkl 3 0 2
2θ 26.5, intensity 73, hkl 1 1 2
2θ 26.6, intensity 35, hkl 2 1 0
2θ 30.0, intensity 30, hkl 1 1 3
2θ 36.6, intensity 49, hkl 2 1 4
2θ 37.0, intensity 28, hkl 4 1 0
2θ 40.4, intensity 20, hkl 2 0 6
2θ 44.6, intensity 19, hkl 1 1 6
2θ 45.0, intensity 28, hkl 4 1 4
2θ 45.3, intensity 44, hkl 0 2 0
2θ 52.5, intensity 28, hkl 3 2 2